1.
The following is a simulated X-ray powder pattern of Ca4As2N. It was derived from a GGA-PBE-relaxed structure, using copper Kα.
Neutral-atom scattering factors, no anomalous dispersion.

Structural model:
```
data_Ca4As2N
_chemical_formula_sum 'Ca8 As4 N2'
_space_group_name_H-M_alt 'P 1 21/m 1'
_space_group_IT_number 11
_cell_length_a 6.7609
_cell_length_b 6.4642
_cell_length_c 8.8042
_cell_angle_alpha 90.00
_cell_angle_beta 110.88
_cell_angle_gamma 90.00
loop_
_space_group_symop_operation_xyz
'x,y,z'
'-x,-y,-z'
'-x,y+1/2,-z'
'x,-y+1/2,z'
loop_
_atom_site_label
_atom_site_type_symbol
_atom_site_fract_x
_atom_site_fract_y
_atom_site_fract_z
Ca1 Ca 0.1668 0.2500 0.0806
Ca2 Ca 0.1776 0.0109 0.7246
Ca3 Ca 0.3273 0.7500 0.3394
As1 As 0.2191 0.2500 0.4356
As2 As 0.4331 0.7500 0.0147
N1 N 0.0110 0.2500 0.8144
```

Largest 10 diffraction maxima, by angle, 15° ≤ 2θ ≤ 90°:
- 4.470 Å, intensity 53
- 4.198 Å, intensity 58
- 3.232 Å, intensity 67
- 2.838 Å, intensity 89
- 2.665 Å, intensity 65
- 2.650 Å, intensity 53
- 2.588 Å, intensity 100
- 2.541 Å, intensity 99
- 2.391 Å, intensity 65
- 2.241 Å, intensity 63

***

2.
The following is a simulated X-ray powder pattern of Ca12As5N2. It was derived from a GGA-PBE-relaxed structure, using copper Kα.
Neutral-atom scattering factors, no anomalous dispersion.

Structural model:
```
data_Ca12As5N2
_chemical_formula_sum 'Ca24 As10 N4'
_space_group_name_H-M_alt 'C 1 2/m 1'
_space_group_IT_number 12
_cell_length_a 16.1573
_cell_length_b 7.4282
_cell_length_c 9.1904
_cell_angle_alpha 90.00
_cell_angle_beta 106.57
_cell_angle_gamma 90.00
loop_
_space_group_symop_operation_xyz
'x,y,z'
'-x,-y,-z'
'-x,y,-z'
'x,-y,z'
'x+1/2,y+1/2,z'
'-x+1/2,-y+1/2,-z'
'-x+1/2,y+1/2,-z'
'x+1/2,-y+1/2,z'
loop_
_atom_site_label
_atom_site_type_symbol
_atom_site_fract_x
_atom_site_fract_y
_atom_site_fract_z
Ca1 Ca 0.0010 0.0000 0.1806
Ca2 Ca 0.0029 0.5000 0.8261
Ca3 Ca 0.1507 0.2504 0.5729
Ca4 Ca 0.1602 0.2437 0.0820
As1 As 0.0000 0.5000 0.5000
As2 As 0.1862 0.0000 0.8384
As3 As 0.1916 0.0000 0.3489
N1 N 0.0000 0.2538 0.0000
```

Largest 10 diffraction maxima, by angle, 15° ≤ 2θ ≤ 90°:
- 4.239 Å, intensity 85
- 3.908 Å, intensity 74
- 2.840 Å, intensity 57
- 2.680 Å, intensity 41
- 2.581 Å, intensity 51
- 2.521 Å, intensity 100
- 2.298 Å, intensity 29
- 2.112 Å, intensity 29
- 1.857 Å, intensity 25
- 1.366 Å, intensity 27

***

3.
The following is a simulated X-ray powder pattern of Ca6As2NO. It was derived from a GGA-PBE-relaxed structure, using copper Kα.
Neutral-atom scattering factors, no anomalous dispersion.

Structural model:
```
data_Ca6As2NO
_chemical_formula_sum 'Ca6 As2 N1 O1'
_space_group_name_H-M_alt 'P 4/m m m'
_space_group_IT_number 123
_space_group_name_Hall '-P 4 2'
_cell_length_a 4.7442
_cell_length_b 4.7442
_cell_length_c 9.4911
_cell_angle_alpha 90.00
_cell_angle_beta 90.00
_cell_angle_gamma 90.00
loop_
_atom_site_label
_atom_site_type_symbol
_atom_site_fract_x
_atom_site_fract_y
_atom_site_fract_z
Ca1 Ca 0.0000 0.0000 0.2464
Ca2 Ca 0.0000 0.5000 0.0000
Ca3 Ca 0.0000 0.5000 0.5000
As1 As 0.5000 0.5000 0.2601
N1 N 0.0000 0.0000 0.0000
O1 O 0.0000 0.0000 0.5000
```

Largest 10 diffraction maxima, by angle, 15° ≤ 2θ ≤ 90°:
- 3.355 Å, intensity 18
- 2.739 Å, intensity 100
- 2.372 Å, intensity 66
- 1.937 Å, intensity 7
- 1.677 Å, intensity 41
- 1.500 Å, intensity 3
- 1.431 Å, intensity 36
- 1.370 Å, intensity 13
- 1.268 Å, intensity 3
- 1.186 Å, intensity 6

***

4.
The following is a simulated X-ray powder pattern of NaCaAs. It was derived from a GGA-PBE-relaxed structure, using copper Kα.
Neutral-atom scattering factors, no anomalous dispersion.

Structural model:
```
data_NaCaAs
_chemical_formula_sum 'Na2 Ca2 As2'
_space_group_name_H-M_alt 'I 4 m m'
_space_group_IT_number 107
_space_group_name_Hall 'I 4 -2'
_cell_length_a 4.1316
_cell_length_b 4.1316
_cell_length_c 8.7623
_cell_angle_alpha 90.00
_cell_angle_beta 90.00
_cell_angle_gamma 90.00
loop_
_atom_site_label
_atom_site_type_symbol
_atom_site_fract_x
_atom_site_fract_y
_atom_site_fract_z
Na1 Na 0.0000 0.0000 0.0000
Ca1 Ca 0.0000 0.0000 0.3141
As1 As 0.0000 0.0000 0.6721
```

Largest 10 diffraction maxima, by angle, 15° ≤ 2θ ≤ 90°:
- 4.381 Å, intensity 22
- 3.737 Å, intensity 28
- 2.922 Å, intensity 94
- 2.431 Å, intensity 18
- 2.385 Å, intensity 100
- 2.066 Å, intensity 33
- 1.561 Å, intensity 50
- 1.461 Å, intensity 15
- 1.306 Å, intensity 26
- 1.246 Å, intensity 11

***

5.
The following is a simulated X-ray powder pattern of NaCaAs. It was derived from a GGA-PBE-relaxed structure, using copper Kα.
Neutral-atom scattering factors, no anomalous dispersion.

Structural model:
```
data_NaCaAs
_chemical_formula_sum 'Na2 Ca2 As2'
_space_group_name_H-M_alt 'P 4/n m m'
_space_group_IT_number 129
_cell_length_a 5.0115
_cell_length_b 5.0115
_cell_length_c 7.0178
_cell_angle_alpha 90.00
_cell_angle_beta 90.00
_cell_angle_gamma 90.00
loop_
_space_group_symop_operation_xyz
'x,y,z'
'-x,-y,-z'
'-y+1/2,x,z'
'y+1/2,-x,-z'
'-x+1/2,-y+1/2,z'
'x+1/2,y+1/2,-z'
'y,-x+1/2,z'
'-y,x+1/2,-z'
'x+1/2,-y,-z'
'-x+1/2,y,z'
'-y,-x,-z'
'y,x,z'
'-x,y+1/2,-z'
'x,-y+1/2,z'
'y+1/2,x+1/2,-z'
'-y+1/2,-x+1/2,z'
loop_
_atom_site_label
_atom_site_type_symbol
_atom_site_fract_x
_atom_site_fract_y
_atom_site_fract_z
Na1 Na 0.2500 0.7500 0.0000
Ca1 Ca 0.2500 0.7500 0.5000
As1 As 0.2500 0.2500 0.2714
```

Largest 10 diffraction maxima, by angle, 15° ≤ 2θ ≤ 90°:
- 4.078 Å, intensity 100
- 2.506 Å, intensity 48
- 2.493 Å, intensity 92
- 2.135 Å, intensity 34
- 2.120 Å, intensity 14
- 1.772 Å, intensity 16
- 1.618 Å, intensity 12
- 1.444 Å, intensity 31
- 1.437 Å, intensity 13
- 1.247 Å, intensity 8

***

6.
The following is a simulated X-ray powder pattern of Na2CaAs4O12. It was derived from a GGA-PBE-relaxed structure, using copper Kα.
Neutral-atom scattering factors, no anomalous dispersion.

Structural model:
```
data_Na2CaAs4O12
_chemical_formula_sum 'Na4 Ca2 As8 O24'
_space_group_name_H-M_alt 'P 4/n b m'
_space_group_IT_number 125
_cell_length_a 10.1263
_cell_length_b 10.1263
_cell_length_c 5.2372
_cell_angle_alpha 90.00
_cell_angle_beta 90.00
_cell_angle_gamma 90.00
loop_
_space_group_symop_operation_xyz
'x,y,z'
'-x,-y,-z'
'-y+1/2,x,z'
'y+1/2,-x,-z'
'-x+1/2,-y+1/2,z'
'x+1/2,y+1/2,-z'
'y,-x+1/2,z'
'-y,x+1/2,-z'
'x,-y+1/2,-z'
'-x,y+1/2,z'
'-y+1/2,-x+1/2,-z'
'y+1/2,x+1/2,z'
'-x+1/2,y,-z'
'x+1/2,-y,z'
'y,x,-z'
'-y,-x,z'
loop_
_atom_site_label
_atom_site_type_symbol
_atom_site_fract_x
_atom_site_fract_y
_atom_site_fract_z
Na1 Na 0.0000 0.0000 0.0000
Ca1 Ca 0.2500 0.2500 0.0000
As1 As 0.0228 0.7500 0.5000
O1 O 0.0555 0.1785 0.2557
O2 O 0.1342 0.6342 0.6518
```

Largest 10 diffraction maxima, by angle, 15° ≤ 2θ ≤ 90°:
- 5.237 Å, intensity 48
- 4.227 Å, intensity 20
- 3.580 Å, intensity 40
- 2.956 Å, intensity 100
- 2.532 Å, intensity 20
- 2.475 Å, intensity 10
- 1.820 Å, intensity 24
- 1.790 Å, intensity 12
- 1.569 Å, intensity 14
- 1.531 Å, intensity 20

***

7.
The following is a simulated X-ray powder pattern of Ca3Pa2NbAs6. It was derived from a GGA-PBE-relaxed structure, using copper Kα.
Neutral-atom scattering factors, no anomalous dispersion.

Structural model:
```
data_Ca3Pa2NbAs6
_chemical_formula_sum 'Ca6 Pa4 Nb2 As12'
_space_group_name_H-M_alt 'C 1 2/m 1'
_space_group_IT_number 12
_cell_length_a 7.0157
_cell_length_b 12.1718
_cell_length_c 7.2629
_cell_angle_alpha 90.00
_cell_angle_beta 108.92
_cell_angle_gamma 90.00
loop_
_space_group_symop_operation_xyz
'x,y,z'
'-x,-y,-z'
'-x,y,-z'
'x,-y,z'
'x+1/2,y+1/2,z'
'-x+1/2,-y+1/2,-z'
'-x+1/2,y+1/2,-z'
'x+1/2,-y+1/2,z'
loop_
_atom_site_label
_atom_site_type_symbol
_atom_site_fract_x
_atom_site_fract_y
_atom_site_fract_z
Ca1 Ca 0.0000 0.0000 0.0000
Ca2 Ca 0.0000 0.3301 0.0000
Pa1 Pa 0.0000 0.1659 0.5000
Nb1 Nb 0.0000 0.5000 0.5000
As1 As 0.2374 0.3385 0.7288
As2 As 0.2450 0.5000 0.2681
```

Largest 10 diffraction maxima, by angle, 15° ≤ 2θ ≤ 90°:
- 3.461 Å, intensity 19
- 2.901 Å, intensity 100
- 2.256 Å, intensity 12
- 2.077 Å, intensity 37
- 2.027 Å, intensity 36
- 1.944 Å, intensity 12
- 1.663 Å, intensity 13
- 1.311 Å, intensity 10
- 1.285 Å, intensity 16
- 1.181 Å, intensity 8

***

8.
The following is a simulated X-ray powder pattern of CaNdPu2As4. It was derived from a GGA-PBE-relaxed structure, using copper Kα.
Neutral-atom scattering factors, no anomalous dispersion.

Structural model:
```
data_CaNdPu2As4
_chemical_formula_sum 'Ca2 Nd2 Pu4 As8'
_space_group_name_H-M_alt 'I 4/m m m'
_space_group_IT_number 139
_space_group_name_Hall '-I 4 2'
_cell_length_a 5.9395
_cell_length_b 5.9395
_cell_length_c 11.7987
_cell_angle_alpha 90.00
_cell_angle_beta 90.00
_cell_angle_gamma 90.00
loop_
_atom_site_label
_atom_site_type_symbol
_atom_site_fract_x
_atom_site_fract_y
_atom_site_fract_z
Ca1 Ca 0.0000 0.0000 0.0000
Nd1 Nd 0.0000 0.0000 0.5000
Pu1 Pu 0.0000 0.5000 0.2500
As1 As 0.0000 0.0000 0.2517
As2 As 0.0000 0.5000 0.0000
```

Largest 10 diffraction maxima, by angle, 15° ≤ 2θ ≤ 90°:
- 5.899 Å, intensity 20
- 4.200 Å, intensity 19
- 3.421 Å, intensity 36
- 2.970 Å, intensity 100
- 2.950 Å, intensity 49
- 2.100 Å, intensity 38
- 2.093 Å, intensity 75
- 1.711 Å, intensity 40
- 1.328 Å, intensity 17
- 1.211 Å, intensity 26

***

9.
The following is a simulated X-ray powder pattern of CaNi5As3. It was derived from a GGA-PBE-relaxed structure, using copper Kα.
Neutral-atom scattering factors, no anomalous dispersion.

Structural model:
```
data_CaNi5As3
_chemical_formula_sum 'Ca4 Ni20 As12'
_space_group_name_H-M_alt 'C m c m'
_space_group_IT_number 63
_space_group_name_Hall '-C 2c 2'
_cell_length_a 3.7213
_cell_length_b 12.2375
_cell_length_c 11.8146
_cell_angle_alpha 90.00
_cell_angle_beta 90.00
_cell_angle_gamma 90.00
loop_
_atom_site_label
_atom_site_type_symbol
_atom_site_fract_x
_atom_site_fract_y
_atom_site_fract_z
Ca1 Ca 0.0000 0.1618 0.2500
Ni1 Ni 0.0000 0.0000 0.0000
Ni2 Ni 0.0000 0.1944 0.5676
Ni3 Ni 0.0000 0.4518 0.1446
As1 As 0.0000 0.1148 0.7500
As2 As 0.0000 0.3791 0.5445
```

Largest 10 diffraction maxima, by angle, 15° ≤ 2θ ≤ 90°:
- 5.433 Å, intensity 64
- 2.641 Å, intensity 73
- 2.492 Å, intensity 73
- 2.273 Å, intensity 69
- 2.045 Å, intensity 40
- 1.969 Å, intensity 79
- 1.932 Å, intensity 100
- 1.861 Å, intensity 82
- 1.811 Å, intensity 48
- 1.792 Å, intensity 40

***

10.
The following is a simulated X-ray powder pattern of Ca2Ni12As7. It was derived from a GGA-PBE-relaxed structure, using copper Kα.
Neutral-atom scattering factors, no anomalous dispersion.

Structural model:
```
data_Ca2Ni12As7
_chemical_formula_sum 'Ca2 Ni12 As7'
_space_group_name_H-M_alt 'P -6'
_space_group_IT_number 174
_cell_length_a 9.4195
_cell_length_b 9.4195
_cell_length_c 3.8322
_cell_angle_alpha 90.00
_cell_angle_beta 90.00
_cell_angle_gamma 120.00
loop_
_space_group_symop_operation_xyz
'x,y,z'
'-x+y,-x,-z'
'-y,x-y,z'
'x,y,-z'
'-x+y,-x,z'
'-y,x-y,-z'
loop_
_atom_site_label
_atom_site_type_symbol
_atom_site_fract_x
_atom_site_fract_y
_atom_site_fract_z
Ca1 Ca 0.0000 0.0000 0.0000
Ca2 Ca 0.3333 0.6667 0.5000
Ni1 Ni 0.0479 0.7695 0.5000
Ni2 Ni 0.0901 0.3813 0.0000
Ni3 Ni 0.4590 0.2390 0.0000
Ni4 Ni 0.5146 0.0542 0.5000
As1 As 0.0720 0.6316 0.0000
As2 As 0.2622 0.0456 0.5000
As3 As 0.6667 0.3333 0.5000
```

Largest 10 diffraction maxima, by angle, 15° ≤ 2θ ≤ 90°:
- 4.710 Å, intensity 15
- 2.402 Å, intensity 100
- 2.218 Å, intensity 19
- 2.039 Å, intensity 14
- 1.948 Å, intensity 56
- 1.916 Å, intensity 37
- 1.800 Å, intensity 18
- 1.780 Å, intensity 27
- 1.682 Å, intensity 18
- 1.304 Å, intensity 18

***

11.
The following is a simulated X-ray powder pattern of CaNi6As2. It was derived from a GGA-PBE-relaxed structure, using copper Kα.
Neutral-atom scattering factors, no anomalous dispersion.

Structural model:
```
data_CaNi6As2
_chemical_formula_sum 'Ca1 Ni6 As2'
_space_group_name_H-M_alt 'P 4/m m m'
_space_group_IT_number 123
_space_group_name_Hall '-P 4 2'
_cell_length_a 3.8425
_cell_length_b 3.8425
_cell_length_c 8.7643
_cell_angle_alpha 90.00
_cell_angle_beta 90.00
_cell_angle_gamma 90.00
loop_
_atom_site_label
_atom_site_type_symbol
_atom_site_fract_x
_atom_site_fract_y
_atom_site_fract_z
Ca1 Ca 0.0000 0.0000 0.0000
Ni1 Ni 0.0000 0.0000 0.5000
Ni2 Ni 0.0000 0.5000 0.3210
Ni3 Ni 0.5000 0.5000 0.5000
As1 As 0.5000 0.5000 0.1742
```

Largest 10 diffraction maxima, by angle, 15° ≤ 2θ ≤ 90°:
- 3.843 Å, intensity 16
- 2.889 Å, intensity 21
- 2.326 Å, intensity 25
- 2.309 Å, intensity 39
- 1.990 Å, intensity 100
- 1.921 Å, intensity 62
- 1.481 Å, intensity 12
- 1.359 Å, intensity 19
- 1.163 Å, intensity 20
- 1.122 Å, intensity 29

***

12.
The following is a simulated X-ray powder pattern of Ca2Ni4As3Pd. It was derived from a GGA-PBE-relaxed structure, using copper Kα.
Neutral-atom scattering factors, no anomalous dispersion.

Structural model:
```
data_Ca2Ni4As3Pd
_chemical_formula_sum 'Ca2 Ni4 As3 Pd1'
_space_group_name_H-M_alt 'P -4 m 2'
_space_group_IT_number 115
_cell_length_a 4.0838
_cell_length_b 4.0838
_cell_length_c 9.9165
_cell_angle_alpha 90.00
_cell_angle_beta 90.00
_cell_angle_gamma 90.00
loop_
_space_group_symop_operation_xyz
'x,y,z'
'y,-x,-z'
'-x,-y,z'
'-y,x,-z'
'-x,y,z'
'-y,-x,-z'
'x,-y,z'
'y,x,-z'
loop_
_atom_site_label
_atom_site_type_symbol
_atom_site_fract_x
_atom_site_fract_y
_atom_site_fract_z
Ca1 Ca 0.0000 0.5000 0.2492
Ni1 Ni 0.0000 0.0000 0.5000
Ni2 Ni 0.0000 0.5000 0.8587
Ni3 Ni 0.5000 0.5000 0.5000
As1 As 0.0000 0.0000 0.0000
As2 As 0.0000 0.5000 0.6275
Pd1 Pd 0.5000 0.5000 0.0000
```

Largest 10 diffraction maxima, by angle, 15° ≤ 2θ ≤ 90°:
- 4.958 Å, intensity 31
- 3.776 Å, intensity 28
- 2.569 Å, intensity 37
- 2.495 Å, intensity 100
- 2.042 Å, intensity 69
- 1.881 Å, intensity 58
- 1.784 Å, intensity 20
- 1.444 Å, intensity 21
- 1.250 Å, intensity 20
- 1.145 Å, intensity 22

***

13.
The following is a simulated X-ray powder pattern of CaPrNi2As2. It was derived from a GGA-PBE-relaxed structure, using copper Kα.
Neutral-atom scattering factors, no anomalous dispersion.

Structural model:
```
data_CaPrNi2As2
_chemical_formula_sum 'Ca1 Pr1 Ni2 As2'
_space_group_name_H-M_alt 'P -3 m 1'
_space_group_IT_number 164
_space_group_name_Hall '-P 3 2"'
_cell_length_a 4.0900
_cell_length_b 4.0900
_cell_length_c 8.2602
_cell_angle_alpha 90.00
_cell_angle_beta 90.00
_cell_angle_gamma 120.00
loop_
_atom_site_label
_atom_site_type_symbol
_atom_site_fract_x
_atom_site_fract_y
_atom_site_fract_z
Ca1 Ca 0.0000 0.0000 0.0000
Pr1 Pr 0.0000 0.0000 0.5000
Ni1 Ni 0.3333 0.6667 0.2525
As1 As 0.3333 0.6667 0.7522
```

Largest 10 diffraction maxima, by angle, 15° ≤ 2θ ≤ 90°:
- 3.255 Å, intensity 16
- 2.689 Å, intensity 100
- 2.174 Å, intensity 5
- 2.065 Å, intensity 16
- 2.045 Å, intensity 46
- 1.628 Å, intensity 21
- 1.453 Å, intensity 29
- 1.283 Å, intensity 9
- 1.274 Å, intensity 18
- 1.181 Å, intensity 7